Diffraction record for Ce6IrPb2N. The powder diffraction line list is simulated, not measured: it uses the PBE geometry in Alexandria and λ = 1.5418 Å (Cu Kα).
Peak positions follow from Bragg's law for the DFT cell and can differ from measured ones.

Largest 6 diffraction maxima, most intense first, 2θ = 10–90°:
- 2θ = 29.69°, intensity 100, (1 1 2)
- 2θ = 34.41°, intensity 99, (2 0 0)
- 2θ = 49.46°, intensity 68, (2 2 0)
- 2θ = 58.75°, intensity 40, (3 1 2)
- 2θ = 82.82°, intensity 29, (4 2 0)
- 2θ = 24.15°, intensity 28, (1 0 2)

Cell: 5.213 5.213 10.424 Å, 90.00 90.00 90.00°
Fractional coordinates of all 10 atoms:
Ce (0.000, 0.000, 0.222)
Ce (0.000, 0.000, 0.778)
Ce (0.000, 0.500, 0.000)
Ce (0.000, 0.500, 0.500)
Ce (0.500, 0.000, 0.000)
Ce (0.500, 0.000, 0.500)
Ir (0.000, 0.000, 0.500)
Pb (0.500, 0.500, 0.240)
Pb (0.500, 0.500, 0.760)
N (0.000, 0.000, 0.000)